Record 1
Theoretical PXRD pattern of Na3ErTi2Nb2O12 for Cu Kα (λ = 1.5418 Å), from DFT lattice parameters and positions (PBE).
Kinematic intensities with the Lorentz-polarization factor, no thermal factor.

Cell and atoms:
```
Na3ErTi2Nb2O12
1.0
15.5084 0.0000 0.0000
0.0000 5.4349 0.0000
0.0000 0.0000 5.5921
Na Er Ti Nb O
6 2 4 4 24
direct
0.0000 0.2418 0.0000
0.0000 0.7582 0.5000
0.2531 0.2551 0.9337
0.2531 0.7449 0.4337
0.7469 0.2551 0.9337
0.7469 0.7449 0.4337
0.5000 0.2375 0.0299
0.5000 0.7625 0.5299
0.3737 0.2621 0.4884
0.3737 0.7379 0.9884
0.6263 0.2621 0.4884
0.6263 0.7379 0.9884
0.1272 0.2500 0.4658
0.1272 0.7500 0.9658
0.8728 0.2500 0.4658
0.8728 0.7500 0.9658
0.0000 0.3272 0.4472
0.0000 0.6728 0.9472
0.1069 0.0435 0.7565
0.1069 0.9565 0.2565
0.1471 0.4567 0.1733
0.1471 0.5433 0.6733
0.2552 0.1764 0.4816
0.2552 0.8236 0.9816
0.3640 0.4474 0.1556
0.3640 0.5526 0.6556
0.4088 0.0472 0.7436
0.4088 0.9528 0.2436
0.5000 0.3520 0.4233
0.5000 0.6480 0.9233
0.5912 0.0472 0.7436
0.5912 0.9528 0.2436
0.6360 0.4474 0.1556
0.6360 0.5526 0.6556
0.7448 0.1764 0.4816
0.7448 0.8236 0.9816
0.8529 0.4567 0.1733
0.8529 0.5433 0.6733
0.8931 0.0435 0.7565
0.8931 0.9565 0.2565
```

Principal peaks in the range 10° ≤ 2θ ≤ 80°, in order of falling intensity:
d_spacing	Position (°2θ)	I (rel.)
2.749	32.6	100
3.780	23.5	45
1.949	46.6	30
7.754	11.4	28
5.169	17.2	27
2.796	32.0	24
1.575	58.6	23
2.717	33.0	23
3.482	25.6	22
1.939	46.9	17

=====

Record 2
Theoretical PXRD pattern of Na3ErTi2Nb2O12 for Cu Kα (λ = 1.5418 Å), from DFT lattice parameters and positions (PBE).
Kinematic intensities with the Lorentz-polarization factor, no thermal factor.

Cell and atoms:
```
Na3ErTi2Nb2O12
1.0
5.4139 0.0000 0.0000
0.0662 5.5794 0.0000
0.0068 0.0202 7.7586
Na Er Ti Nb O
3 1 2 2 12
direct
0.0000 0.0000 0.0000
0.0199 0.9254 0.5010
0.5174 0.4911 0.0005
0.4992 0.3954 0.5014
0.0009 0.4482 0.2589
0.5134 0.9434 0.7436
0.0040 0.4595 0.7626
0.5145 0.9420 0.2398
0.0818 0.4466 0.0044
0.2304 0.1970 0.3062
0.2343 0.1936 0.6969
0.3146 0.6700 0.3082
0.3179 0.6718 0.6950
0.4268 0.9488 0.9983
0.5909 0.9968 0.5045
0.7144 0.2647 0.7785
0.7164 0.2669 0.2248
0.8053 0.7674 0.7899
0.8116 0.7640 0.2110
0.9084 0.4918 0.4975
```

Principal peaks in the range 10° ≤ 2θ ≤ 80°, in order of falling intensity:
d_spacing	Position (°2θ)	I (rel.)
2.737	32.7	100
2.753	32.5	99
7.759	11.4	58
4.528	19.6	51
2.790	32.1	51
4.440	20.0	50
2.707	33.1	47
1.940	46.8	35
1.576	58.6	34
1.954	46.5	31

=====

Record 3
Theoretical PXRD pattern of NaErO2 for Cu Kα (λ = 1.5418 Å), from DFT lattice parameters and positions (PBE).
Kinematic intensities with the Lorentz-polarization factor, no thermal factor.

Cell and atoms:
```
NaErO2
1.0
1.6943 0.9782 5.5713
-1.6943 0.9782 5.5713
0.0000 -1.9564 5.5713
Na Er O
1 1 2
direct
0.0000 0.0000 0.0000
0.5000 0.5000 0.5000
0.2364 0.2364 0.2364
0.7636 0.7636 0.7636
```

Principal peaks in the range 10° ≤ 2θ ≤ 80°, in order of falling intensity:
d_spacing	Position (°2θ)	I (rel.)
5.571	15.9	100
2.402	37.4	79
2.769	32.3	59
2.890	30.9	51
1.694	54.1	27
1.702	53.9	25
1.621	56.8	22
2.786	32.1	21
2.205	40.9	21
1.852	49.2	19

=====

Record 4
Theoretical PXRD pattern of NaErO2 for Cu Kα (λ = 1.5418 Å), from DFT lattice parameters and positions (PBE).
Kinematic intensities with the Lorentz-polarization factor, no thermal factor.

Cell and atoms:
```
NaErO2
1.0
3.3152 -6.5795 0.0000
3.3152 6.5795 0.0000
-3.1881 0.0000 4.9856
Na Er O
4 4 8
direct
0.0557 0.9443 0.7500
0.1802 0.8198 0.2500
0.8198 0.1802 0.7500
0.9443 0.0557 0.2500
0.3067 0.6933 0.7500
0.4329 0.5671 0.2500
0.5671 0.4329 0.7500
0.6933 0.3067 0.2500
0.0836 0.4598 0.2928
0.2330 0.3601 0.7949
0.3601 0.2330 0.2949
0.4598 0.0836 0.7928
0.5402 0.9164 0.2072
0.6399 0.7670 0.7051
0.7670 0.6399 0.2051
0.9164 0.5402 0.7072
```

Principal peaks in the range 10° ≤ 2θ ≤ 80°, in order of falling intensity:
d_spacing	Position (°2θ)	I (rel.)
5.142	17.2	100
2.335	38.6	75
2.746	32.6	59
3.419	26.1	48
2.493	36.0	45
2.793	32.0	32
2.728	32.8	29
1.720	53.3	27
1.689	54.3	26
2.870	31.2	18